1.
Diffraction record for Sr2Li3TaN4. The powder diffractogram is computed, not measured: it uses a DFT-relaxed cell (GGA-PBE, OQMD) and a wavelength of 1.5418 Å.

Cell and atoms:
Cell: 8.6849 8.9718 6.9865 Å, 90.00 90.00 90.00°
Space group Pnnm (No. 58)
Symmetry-distinct sites (fractional):
Sr  0.0000  0.0000  0.2398
Sr  0.2420  0.2462  0.5000
Li  0.0191  0.6347  0.2630
Li  0.2053  0.5777  0.5000
Ta  0.2142  0.3625  0.0000
N  0.0464  0.2158  0.0000
N  0.0732  0.7785  0.5000
N  0.1978  0.4816  0.2352

Largest 10 diffraction maxima, low angle first, 5 to 70 degrees two-theta:
h k l, 2theta, d (Å), I/Imax
0 1 1, 16.1, 5.512, 52
2 0 0, 20.5, 4.342, 31
1 2 0, 22.3, 3.986, 60
2 1 1, 26.1, 3.411, 35
2 2 0, 28.6, 3.120, 28
0 2 2, 32.5, 2.754, 100
2 0 2, 32.9, 2.722, 75
1 3 1, 34.2, 2.624, 80
3 3 1, 45.5, 1.994, 37
1 5 1, 53.8, 1.705, 42

---

2.
Diffraction record for Sr2LiTm2N3. The powder diffractogram is computed, not measured: it uses a DFT-relaxed cell (GGA-PBE, OQMD) and a wavelength of 1.5418 Å.

Cell and atoms:
Cell: 8.1389 10.9607 6.5791 Å, 90.00 93.09 90.00°
Space group C2/c (No. 15)
Symmetry-distinct sites (fractional):
Sr  0.1728  0.0906  0.3923
Li  0.0000  0.1595  0.7500
Tm  0.0997  0.3557  0.0205
N  0.0000  0.4881  0.7500
N  0.1290  0.1380  0.0062

Largest 10 diffraction maxima, low angle first, 5 to 70 degrees two-theta:
h k l, 2theta, d (Å), I/Imax
1 1 0, 13.6, 6.528, 31
1 1 1, 19.6, 4.533, 36
1 3 0, 26.8, 3.332, 28
0 0 2, 27.1, 3.285, 47
1 1 -2, 29.9, 2.987, 42
2 2 -1, 30.0, 2.975, 51
2 2 1, 31.1, 2.874, 100
0 4 0, 32.7, 2.740, 39
3 1 -1, 36.1, 2.487, 41
1 3 -2, 38.0, 2.366, 31

---

3.
Diffraction record for Li3ZrN2. The powder diffractogram is computed, not measured: it uses a DFT-relaxed cell (GGA-PBE, OQMD) and a wavelength of 1.5418 Å.

Cell and atoms:
Cell: 5.1668 10.1726 5.2665 Å, 90.00 90.00 90.00°
Space group Ibam (No. 72)
Symmetry-distinct sites (fractional):
Li  0.0000  0.0000  0.2500
Li  0.0000  0.2272  0.2500
Zr  0.0000  0.5000  0.2500
N  0.2473  0.3823  0.0000

Largest 10 diffraction maxima, low angle first, 5 to 70 degrees two-theta:
h k l, 2theta, d (Å), I/Imax
0 2 0, 17.4, 5.086, 70
1 1 0, 19.3, 4.607, 100
1 3 0, 31.6, 2.835, 32
0 2 2, 38.5, 2.338, 16
2 2 0, 39.1, 2.303, 16
1 1 2, 39.4, 2.286, 31
1 3 2, 47.1, 1.929, 21
2 0 2, 49.4, 1.844, 18
0 4 2, 49.8, 1.829, 17
2 4 0, 50.3, 1.812, 17